1.
Starting from a DFT-relaxed cell (GGA-PBE, Alexandria), the powder diffractogram of CdRh4O8 was calculated for CuKα.

Most intense lines, 15° ≤ 2θ ≤ 90°, by angle:
Position (°2θ)  d/Å  I_rel
17.32  5.120  62
20.03  4.434  17
28.47  3.135  14
33.52  2.674  100
35.05  2.560  36
40.70  2.217  30
53.71  1.707  42
58.92  1.568  42
70.43  1.337  18
83.79  1.154  19

Structural model:
a = 6.270 Å, b = 6.270 Å, c = 6.270 Å
α = 60.00°, β = 60.00°, γ = 60.00°
Fractional positions:
Cd: 0.000 0.000 0.000
Rh: 0.376 0.376 0.376
Rh: 0.376 0.376 0.871
Rh: 0.376 0.871 0.376
Rh: 0.871 0.376 0.376
O: 0.143 0.143 0.143
O: 0.143 0.143 0.571
O: 0.143 0.571 0.143
O: 0.192 0.603 0.603
O: 0.571 0.143 0.143
O: 0.603 0.192 0.603
O: 0.603 0.603 0.192
O: 0.603 0.603 0.603

2.
Starting from a DFT-relaxed cell (GGA-PBE, Alexandria), the powder diffractogram of Sm2CdRhO6 was calculated for CuKα.

Most intense lines, 15° ≤ 2θ ≤ 90°, by angle:
Position (°2θ)  d/Å  I_rel
24.58  3.621  14
29.96  2.982  19
31.33  2.855  100
32.37  2.765  23
44.69  2.028  16
45.09  2.011  12
46.17  1.966  9
50.06  1.822  12
57.02  1.615  13
57.16  1.611  10

Structural model:
a = 5.531 Å, b = 5.964 Å, c = 9.745 Å
α = 90.00°, β = 124.39°, γ = 90.00°
Fractional positions:
Sm: 0.223 0.073 0.247
Sm: 0.223 0.427 0.747
Sm: 0.777 0.573 0.253
Sm: 0.777 0.927 0.753
Cd: 0.000 0.000 0.500
Cd: 0.000 0.500 0.000
Rh: 0.500 0.000 0.000
Rh: 0.500 0.500 0.500
O: 0.140 0.177 0.940
O: 0.140 0.323 0.440
O: 0.258 0.711 0.924
O: 0.258 0.789 0.424
O: 0.402 0.059 0.768
O: 0.402 0.441 0.268
O: 0.598 0.559 0.732
O: 0.598 0.941 0.232
O: 0.742 0.211 0.576
O: 0.742 0.289 0.076
O: 0.860 0.677 0.560
O: 0.860 0.823 0.060